# Ta2MnP6O21
Calculated powder X-ray diffraction pattern, Cu Kα, 1.54184 Å. Input: a cell relaxed with PBE+U.
Peak positions follow from Bragg's law for the DFT cell and can differ from measured ones.

Atomic structure:
```
Ta2MnP6O21
1.0
6.703 0.000 0.000
0.000 8.131 0.000
-6.655 0.000 15.778
Ta Mn P O
4 2 12 42
Cartesian
-0.205 0.146 2.628 Ta
-3.533 3.920 10.517 Ta
3.581 4.211 5.261 Ta
0.253 7.986 13.150 Ta
0.024 0.000 7.889 Mn
3.352 4.066 0.000 Mn
-1.047 4.900 2.561 P
-4.374 7.296 10.451 P
-1.265 4.952 8.099 P
2.063 7.244 0.210 P
-1.901 0.899 10.600 P
1.427 3.167 2.711 P
-1.379 4.965 13.067 P
1.949 7.232 5.178 P
-2.015 0.887 15.569 P
1.313 3.179 7.679 P
4.422 0.835 5.328 P
1.095 3.231 13.217 P
-1.609 0.550 3.949 O
-4.936 3.515 11.838 O
-4.257 5.756 10.285 O
-0.929 6.441 2.395 O
-1.972 4.879 6.715 O
-5.300 7.318 14.604 O
-1.640 0.131 6.459 O
-4.967 3.935 14.348 O
0.480 4.461 2.785 O
-2.848 7.736 10.674 O
-2.138 4.190 9.131 O
1.190 8.007 1.242 O
0.527 1.943 3.041 O
-2.800 2.122 10.930 O
-2.326 4.711 11.867 O
1.002 7.485 3.978 O
2.427 5.885 0.671 O
-0.901 6.311 8.560 O
-1.209 1.044 9.299 O
2.119 3.022 1.410 O
3.352 0.000 0.000 O
0.024 4.066 7.889 O
-2.071 5.110 14.369 O
1.257 7.087 6.479 O
0.949 1.820 7.218 O
-2.379 2.246 15.107 O
-0.954 0.646 11.800 O
2.374 3.420 3.911 O
2.848 6.009 4.848 O
-0.479 6.188 12.737 O
-1.142 0.124 14.537 O
2.186 3.941 6.648 O
2.896 0.396 5.104 O
-0.432 3.670 12.993 O
5.015 4.196 1.431 O
1.688 8.001 9.320 O
5.348 0.814 1.174 O
2.020 3.252 9.063 O
0.977 1.691 13.383 O
4.305 2.375 5.494 O
4.984 4.616 3.940 O
1.657 7.581 11.829 O
```

Top 10 peaks for 10° ≤ 2θ ≤ 80°, by angle:
two_theta	intensity	(hkl)
12.25	16	0 1 1
14.35	13	1 0 0
17.14	63	1 1 -1
20.11	13	0 1 3
21.47	100	1 0 2
21.86	37	0 2 0
25.63	15	1 2 -1
30.83	36	1 2 -4
33.57	39	2 1 1
49.98	12	1 4 -4